For PmPr6Ho2, a DFT-relaxed cell (PBE, Alexandria) gives the calculated XRD peak list in this record (copper Kα).
Kinematic intensities with the Lorentz-polarization factor, no thermal factor.

Cell and atoms:
a = 3.672 Å, b = 8.989 Å, c = 9.691 Å
α = 89.58°, β = 79.09°, γ = 89.91°
Space group P-1 (No. 2)
Asymmetric unit:
Pm (0.000, 0.000, 0.000) x1
Pr (0.108, 0.664, 0.783) x2
Pr (0.220, 0.334, 0.559) x2
Pr (0.335, 0.001, 0.330) x2
Ho (0.445, 0.668, 0.110) x2

Main lines, most intense first (5 to 70 degrees two-theta):
d [Å]	2theta	intensity	index
2.995	29.83	1000	0 3 0
2.599	34.51	341	1 2 2
1.834	49.72	181	2 0 1
2.583	34.73	166	0 2 -3
1.565	59.01	146	2 -3 1
1.567	58.92	145	2 3 1
1.559	59.26	141	0 5 -3
1.831	49.79	120	1 -4 2
1.498	61.97	62	0 6 0
1.840	49.55	61	0 4 3



For Ba3GaBi3, a DFT-relaxed cell (PBE, Alexandria) gives the calculated XRD peak list in this record (copper Kα).
Kinematic intensities with the Lorentz-polarization factor, no thermal factor.

Cell and atoms:
a = 21.862 Å, b = 7.376 Å, c = 14.508 Å
α = 90.00°, β = 90.00°, γ = 90.00°
Space group Cmce (No. 64)
Asymmetric unit:
Ba (0.000, 0.197, 0.141) x8
Ba (0.173, 0.204, 0.874) x16
Ga (0.087, 0.000, 0.500) x8
Bi (0.000, 0.204, 0.393) x8
Bi (0.161, 0.210, 0.623) x16

Main lines, most intense first (5 to 70 degrees two-theta):
d [Å]	2theta	intensity	index
2.589	34.65	1000	6 2 0
2.571	34.90	637	6 0 4
3.644	24.43	634	6 0 0
3.627	24.54	598	0 0 4
3.688	24.13	462	0 2 0
2.108	42.89	405	6 2 4
1.628	56.54	185	12 0 4
4.218	21.06	183	3 1 2
1.489	62.35	160	12 2 4
3.397	26.23	158	2 2 1



For MgCdSnPb, a DFT-relaxed cell (PBE, Alexandria) gives the calculated XRD peak list in this record (copper Kα).
Kinematic intensities with the Lorentz-polarization factor, no thermal factor.

Cell and atoms:
a = 4.811 Å, b = 4.809 Å, c = 8.908 Å
α = 90.00°, β = 90.02°, γ = 90.00°
Space group Cm (No. 8)
Asymmetric unit:
Mg (0.000, 0.000, 0.000) x2
Cd (0.002, 0.500, 0.213) x2
Sn (0.001, 0.500, 0.766) x2
Pb (0.003, 0.000, 0.481) x2

Main lines, most intense first (5 to 70 degrees two-theta):
d [Å]	2theta	intensity	index
2.703	33.14	1000	1 1 2
2.405	37.39	384	2 0 0
3.177	28.08	351	1 1 -1
8.908	9.93	350	0 0 1
1.439	64.77	292	3 1 2
1.634	56.30	185	2 0 4
1.869	48.73	144	2 0 -3
1.701	53.92	134	2 2 0
2.969	30.10	133	0 0 3
1.578	58.48	123	1 1 -5



For Tl2Pd3Se4, a DFT-relaxed cell (PBE, Alexandria) gives the calculated XRD peak list in this record (copper Kα).
Kinematic intensities with the Lorentz-polarization factor, no thermal factor.

Cell and atoms:
a = 6.353 Å, b = 11.370 Å, c = 12.571 Å
α = 90.00°, β = 90.00°, γ = 90.00°
Space group Fmmm (No. 69)
Asymmetric unit:
Tl (0.000, 0.000, 0.138) x8
Pd (0.000, 0.000, 0.500) x4
Pd (0.250, 0.250, 0.000) x8
Se (0.000, 0.164, 0.369) x16

Main lines, most intense first (5 to 70 degrees two-theta):
d [Å]	2theta	intensity	index
2.570	34.91	1000	1 3 3
3.149	28.34	591	0 0 4
2.234	40.37	440	2 0 4
2.773	32.28	417	2 2 0
3.343	26.66	413	1 1 3
3.176	28.09	335	2 0 0
1.628	56.55	293	2 6 0
1.691	54.23	283	3 3 3
6.285	14.09	271	0 0 2
2.841	31.49	250	0 4 0



For PAuS2N, a DFT-relaxed cell (PBE, Alexandria) gives the calculated XRD peak list in this record (copper Kα).
Kinematic intensities with the Lorentz-polarization factor, no thermal factor.

Cell and atoms:
a = 4.787 Å, b = 4.787 Å, c = 3.211 Å
α = 90.00°, β = 90.00°, γ = 90.00°
Space group P4/mmm (No. 123)
Asymmetric unit:
P (0.000, 0.000, 0.000) x1
Au (0.500, 0.500, 0.500) x1
S (0.000, 0.500, 0.000) x2
N (0.000, 0.000, 0.500) x1

Main lines, most intense first (5 to 70 degrees two-theta):
d [Å]	2theta	intensity	index
2.666	33.61	1000	1 0 1
4.787	18.54	988	1 0 0
2.329	38.65	897	1 1 1
2.393	37.58	753	2 0 0
1.781	51.29	620	2 1 1
3.385	26.33	615	1 1 0
1.369	68.53	322	3 1 1
2.141	42.21	284	2 1 0
1.692	54.20	251	2 2 0
1.429	65.30	153	3 0 1



For KAc2W2N6, a DFT-relaxed cell (PBE, Alexandria) gives the calculated XRD peak list in this record (copper Kα).
Kinematic intensities with the Lorentz-polarization factor, no thermal factor.

Cell and atoms:
a = 6.445 Å, b = 6.957 Å, c = 7.018 Å
α = 96.05°, β = 115.24°, γ = 114.58°
Space group P-1 (No. 2)
Asymmetric unit:
K (0.000, 0.000, 0.000) x1
Ac (0.392, 0.285, 0.681) x2
W (0.220, 0.683, 0.683) x2
N (0.119, 0.899, 0.678) x2
N (0.258, 0.545, 0.896) x2
N (0.471, 0.711, 0.610) x2

Main lines, most intense first (5 to 70 degrees two-theta):
d [Å]	2theta	intensity	index
5.489	16.15	1000	1 0 -1
5.955	14.88	819	0 0 1
3.118	28.63	795	1 0 1
3.476	25.63	757	1 0 -2
3.036	29.42	610	1 -2 1
3.614	24.63	530	1 1 -1
2.748	32.58	418	-2 2 1
3.213	27.77	402	-2 1 1
2.970	30.09	397	0 2 0
3.444	25.87	389	1 -2 0



For Tm2Pd5Au2, a DFT-relaxed cell (PBE, Alexandria) gives the calculated XRD peak list in this record (copper Kα).
Kinematic intensities with the Lorentz-polarization factor, no thermal factor.

Cell and atoms:
a = 15.145 Å, b = 9.437 Å, c = 4.907 Å
α = 90.00°, β = 108.82°, γ = 90.00°
Space group C2/m (No. 12)
Asymmetric unit:
Tm (0.127, 0.000, 0.089) x4
Tm (0.127, 0.500, 0.666) x4
Pd (0.045, 0.250, 0.795) x8
Pd (0.151, 0.250, 0.401) x8
Pd (0.250, 0.250, 0.000) x4
Au (0.000, 0.000, 0.500) x2
Au (0.000, 0.500, 0.000) x2
Au (0.250, 0.000, 0.703) x4

Main lines, most intense first (5 to 70 degrees two-theta):
d [Å]	2theta	intensity	index
2.767	32.35	1000	3 1 1
2.177	41.49	701	2 2 -2
2.359	38.15	498	0 4 0
2.130	42.44	467	3 3 1
2.192	41.18	427	4 2 1
1.581	58.37	184	5 5 -1
2.476	36.29	124	4 0 1
1.470	63.26	119	1 1 3
1.675	54.80	109	8 2 0
1.708	53.67	78	4 4 1



For OsRh2N10Cl10, a DFT-relaxed cell (PBE, Alexandria) gives the calculated XRD peak list in this record (copper Kα).
Kinematic intensities with the Lorentz-polarization factor, no thermal factor.

Cell and atoms:
a = 12.220 Å, b = 9.205 Å, c = 10.931 Å
α = 90.00°, β = 94.36°, γ = 90.00°
Space group C2/m (No. 12)
Asymmetric unit:
Os (0.000, 0.000, 0.000) x2
Rh (0.149, 0.500, 0.155) x4
N (0.004, 0.500, 0.211) x4
N (0.110, 0.319, 0.056) x8
N (0.227, 0.363, 0.287) x8
Cl (0.000, 0.259, 0.000) x4
Cl (0.013, 0.500, 0.641) x4
Cl (0.023, 0.000, 0.213) x4
Cl (0.194, 0.000, 0.997) x4
Cl (0.226, 0.000, 0.641) x4

Main lines, most intense first (5 to 70 degrees two-theta):
d [Å]	2theta	intensity	index
10.899	8.11	1000	0 0 1
5.966	14.85	474	1 1 1
4.603	19.28	299	0 2 0
5.499	16.12	211	2 0 -1
4.229	21.01	188	2 0 -2
3.594	24.77	123	3 1 -1
4.284	20.74	118	1 1 2
2.593	34.60	109	1 1 -4
2.251	40.05	80	4 0 3
2.029	44.66	74	1 3 -4